# YTm2WO8
Calculated powder XRD pattern, Cu Kα. Input: a crystal structure in Alexandria, relaxed with PBE+U.

The 12 most intense peaks (5 to 70 degrees two-theta), in order of rising 2θ:
d = 3.558 Å, 2θ = 25.0°, I = 58
d = 3.516 Å, 2θ = 25.3°, I = 54
d = 2.805 Å, 2θ = 31.9°, I = 100
d = 2.501 Å, 2θ = 35.9°, I = 29
d = 1.873 Å, 2θ = 48.6°, I = 40
d = 1.861 Å, 2θ = 49.0°, I = 38
d = 1.758 Å, 2θ = 52.0°, I = 9
d = 1.587 Å, 2θ = 58.1°, I = 9
d = 1.576 Å, 2θ = 58.6°, I = 10
d = 1.530 Å, 2θ = 60.5°, I = 10
d = 1.496 Å, 2θ = 62.0°, I = 22
d = 1.403 Å, 2θ = 66.7°, I = 11

Cell and atoms:
```
data_YTm2WO8
_chemical_formula_sum 'Y1 Tm2 W1 O8'
_cell_length_a 5.0024
_cell_length_b 5.0024
_cell_length_c 6.7768
_cell_angle_alpha 90.00
_cell_angle_beta 90.00
_cell_angle_gamma 90.68
_space_group_name_H-M_alt 'P 1'
_space_group_IT_number 1
_space_group_name_Hall 'P 1'
loop_
_atom_site_label
_atom_site_type_symbol
_atom_site_fract_x
_atom_site_fract_y
_atom_site_fract_z
Y1 Y 0.0000 0.0000 0.0000
Tm1 Tm 0.5000 0.5000 0.2513
Tm2 Tm 0.5000 0.5000 0.7487
W1 W 0.0000 0.0000 0.5000
O1 O 0.1858 0.8142 0.2876
O2 O 0.1858 0.8142 0.7124
O3 O 0.2788 0.2788 0.5000
O4 O 0.3108 0.3108 0.0000
O5 O 0.6892 0.6892 0.0000
O6 O 0.7212 0.7212 0.5000
O7 O 0.8142 0.1858 0.2876
O8 O 0.8142 0.1858 0.7124
```